1.
This entry pairs a crystal structure of CaLaZnN2 with its theoretical X-ray diffraction stick pattern. Radiation: Cu Kα X-rays. Structure: a crystal structure in Alexandria, relaxed with PBE.
Peak positions follow from Bragg's law for the DFT cell and can differ from measured ones.

Top 6 peaks for 5 to 70 degrees two-theta, sorted by position:
- 2θ = 17.0°, I 69, hkl 1 0 0
- 2θ = 23.2°, I 28, hkl 1 1 0
- 2θ = 30.9°, I 32, hkl 0 1 2
- 2θ = 31.5°, I 27, hkl 0 2 0
- 2θ = 35.5°, I 100, hkl 1 1 2
- 2θ = 47.4°, I 26, hkl 2 2 0

```
data_CaLaZnN2
_chemical_formula_sum 'Ca2 La2 Zn2 N4'
_space_group_name_H-M_alt 'P c c m'
_space_group_IT_number 49
_cell_length_a 5.203
_cell_length_b 5.679
_cell_length_c 6.724
_cell_angle_alpha 90.00
_cell_angle_beta 90.00
_cell_angle_gamma 90.00
loop_
_space_group_symop_operation_xyz
'x,y,z'
'-x,-y,-z'
'-x,-y,z'
'x,y,-z'
'x,-y,-z+1/2'
'-x,y,z+1/2'
'-x,y,-z+1/2'
'x,-y,z+1/2'
loop_
_atom_site_label
_atom_site_type_symbol
_atom_site_fract_x
_atom_site_fract_y
_atom_site_fract_z
Ca1 Ca 0.000 0.000 0.250
La1 La 0.500 0.500 0.250
Zn1 Zn 0.500 0.000 0.000
N1 N 0.264 0.248 0.000
```

=====

2.
This entry pairs a crystal structure of Ca2La4Nd5 with its theoretical X-ray diffraction stick pattern. Radiation: Cu Kα X-rays. Structure: a crystal structure in Alexandria, relaxed with PBE.
Peak positions follow from Bragg's law for the DFT cell and can differ from measured ones.

Top 6 peaks for 5 to 70 degrees two-theta, sorted by position:
- 2θ = 25.9°, I 49, hkl 1 1 1
- 2θ = 29.4°, I 100, hkl 6 0 -1
- 2θ = 29.6°, I 61, hkl 3 1 1
- 2θ = 30.4°, I 79, hkl 2 0 -4
- 2θ = 30.7°, I 76, hkl 4 0 3
- 2θ = 32.6°, I 69, hkl 3 1 2

```
data_Ca2La4Nd5
_chemical_formula_sum 'Ca4 La8 Nd10'
_space_group_name_H-M_alt 'C 1 2/m 1'
_space_group_IT_number 12
_cell_length_a 18.516
_cell_length_b 3.674
_cell_length_c 12.097
_cell_angle_alpha 90.00
_cell_angle_beta 94.64
_cell_angle_gamma 90.00
loop_
_space_group_symop_operation_xyz
'x,y,z'
'-x,-y,-z'
'-x,y,-z'
'x,-y,z'
'x+1/2,y+1/2,z'
'-x+1/2,-y+1/2,-z'
'-x+1/2,y+1/2,-z'
'x+1/2,-y+1/2,z'
loop_
_atom_site_label
_atom_site_type_symbol
_atom_site_fract_x
_atom_site_fract_y
_atom_site_fract_z
Ca1 Ca 0.215 0.000 0.356
La1 La 0.036 0.500 0.257
La2 La 0.137 0.000 0.796
Nd1 Nd 0.000 0.000 0.000
Nd2 Nd 0.090 0.500 0.542
Nd3 Nd 0.177 0.500 0.063
```

=====

3.
This entry pairs a crystal structure of CaLa4Nd15 with its theoretical X-ray diffraction stick pattern. Radiation: Cu Kα X-rays. Structure: a crystal structure in Alexandria, relaxed with PBE.
Peak positions follow from Bragg's law for the DFT cell and can differ from measured ones.

Top 6 peaks for 5 to 70 degrees two-theta, sorted by position:
- 2θ = 29.5°, I 100, hkl 1 1 5
- 2θ = 34.2°, I 34, hkl 2 0 0
- 2θ = 34.4°, I 17, hkl 0 0 10
- 2θ = 49.2°, I 24, hkl 2 0 10
- 2θ = 58.4°, I 29, hkl 3 1 5
- 2θ = 58.6°, I 14, hkl 1 1 15

```
data_CaLa4Nd15
_chemical_formula_sum 'Ca1 La4 Nd15'
_space_group_name_H-M_alt 'P 4/m m m'
_space_group_IT_number 123
_space_group_name_Hall '-P 4 2'
_cell_length_a 5.247
_cell_length_b 5.247
_cell_length_c 26.096
_cell_angle_alpha 90.00
_cell_angle_beta 90.00
_cell_angle_gamma 90.00
loop_
_atom_site_label
_atom_site_type_symbol
_atom_site_fract_x
_atom_site_fract_y
_atom_site_fract_z
Ca1 Ca 0.000 0.000 0.000
La1 La 0.000 0.000 0.200
La2 La 0.000 0.000 0.400
Nd1 Nd 0.000 0.500 0.102
Nd2 Nd 0.000 0.500 0.300
Nd3 Nd 0.000 0.500 0.500
Nd4 Nd 0.500 0.500 0.000
Nd5 Nd 0.500 0.500 0.199
Nd6 Nd 0.500 0.500 0.400
```

=====

4.
This entry pairs a crystal structure of CaLa7Nd3 with its theoretical X-ray diffraction stick pattern. Radiation: Cu Kα X-rays. Structure: a crystal structure in Alexandria, relaxed with PBE.
Peak positions follow from Bragg's law for the DFT cell and can differ from measured ones.

Top 6 peaks for 5 to 70 degrees two-theta, sorted by position:
- 2θ = 29.6°, I 100, hkl 0 2 1
- 2θ = 30.1°, I 31, hkl 0 0 3
- 2θ = 34.5°, I 66, hkl 2 0 2
- 2θ = 49.3°, I 24, hkl 2 2 0
- 2θ = 49.9°, I 22, hkl 0 2 4
- 2θ = 58.9°, I 27, hkl 2 2 3

```
data_CaLa7Nd3
_chemical_formula_sum 'Ca1 La7 Nd3'
_space_group_name_H-M_alt 'P 3 m 1'
_space_group_IT_number 156
_cell_length_a 7.3970
_cell_length_b 7.3970
_cell_length_c 8.8943
_cell_angle_alpha 90.00
_cell_angle_beta 90.00
_cell_angle_gamma 120.00
loop_
_space_group_symop_operation_xyz
'x,y,z'
'-y,x-y,z'
'-x+y,-x,z'
'-y,-x,z'
'-x+y,y,z'
'x,x-y,z'
loop_
_atom_site_label
_atom_site_type_symbol
_atom_site_fract_x
_atom_site_fract_y
_atom_site_fract_z
Ca1 Ca 0.0000 0.0000 0.0000
La1 La 0.0012 0.5006 0.0133
La2 La 0.3333 0.6667 0.6865
La3 La 0.3437 0.1718 0.6605
Nd1 Nd 0.1694 0.3389 0.3460
```

=====

5.
This entry pairs a crystal structure of Ca4LaNd3 with its theoretical X-ray diffraction stick pattern. Radiation: Cu Kα X-rays. Structure: a crystal structure in Alexandria, relaxed with PBE.
Peak positions follow from Bragg's law for the DFT cell and can differ from measured ones.

Top 6 peaks for 5 to 70 degrees two-theta, sorted by position:
- 2θ = 8.2°, I 77, hkl 0 0 1
- 2θ = 28.8°, I 100, hkl 1 2 2
- 2θ = 33.5°, I 34, hkl 2 0 0
- 2θ = 34.4°, I 18, hkl 1 2 3
- 2θ = 47.9°, I 22, hkl 2 0 4
- 2θ = 57.0°, I 28, hkl 3 2 2

```
data_Ca4LaNd3
_chemical_formula_sum 'Ca8 La2 Nd6'
_space_group_name_H-M_alt 'P m m n'
_space_group_IT_number 59
_cell_length_a 5.355
_cell_length_b 10.709
_cell_length_c 10.777
_cell_angle_alpha 90.00
_cell_angle_beta 90.00
_cell_angle_gamma 90.00
loop_
_space_group_symop_operation_xyz
'x,y,z'
'-x,-y,-z'
'-x+1/2,-y+1/2,z'
'x+1/2,y+1/2,-z'
'x+1/2,-y,-z'
'-x+1/2,y,z'
'-x,y+1/2,-z'
'x,-y+1/2,z'
loop_
_atom_site_label
_atom_site_type_symbol
_atom_site_fract_x
_atom_site_fract_y
_atom_site_fract_z
Ca1 Ca 0.250 0.001 0.133
Ca2 Ca 0.250 0.250 0.868
Ca3 Ca 0.250 0.750 0.866
La1 La 0.250 0.750 0.390
Nd1 Nd 0.250 0.000 0.612
Nd2 Nd 0.250 0.250 0.389
```

=====

6.
This entry pairs a crystal structure of Ca2La7Nd12 with its theoretical X-ray diffraction stick pattern. Radiation: Cu Kα X-rays. Structure: a crystal structure in Alexandria, relaxed with PBE.
Peak positions follow from Bragg's law for the DFT cell and can differ from measured ones.

Top 6 peaks for 5 to 70 degrees two-theta, sorted by position:
- 2θ = 30.0°, I 73, hkl 2 1 1
- 2θ = 30.5°, I 100, hkl 1 4 0
- 2θ = 43.3°, I 23, hkl 4 2 1
- 2θ = 53.8°, I 25, hkl 7 0 1
- 2θ = 54.1°, I 16, hkl 6 3 0
- 2θ = 59.2°, I 31, hkl 1 4 2

```
data_Ca2La7Nd12
_chemical_formula_sum 'Ca2 La7 Nd12'
_space_group_name_H-M_alt 'P -6'
_space_group_IT_number 174
_cell_length_a 15.5284
_cell_length_b 15.5284
_cell_length_c 3.6826
_cell_angle_alpha 90.00
_cell_angle_beta 90.00
_cell_angle_gamma 120.00
loop_
_space_group_symop_operation_xyz
'x,y,z'
'-x+y,-x,-z'
'-y,x-y,z'
'x,y,-z'
'-x+y,-x,z'
'-y,x-y,-z'
loop_
_atom_site_label
_atom_site_type_symbol
_atom_site_fract_x
_atom_site_fract_y
_atom_site_fract_z
Ca1 Ca 0.0000 0.0000 0.0000
Ca2 Ca 0.3333 0.6667 0.5000
La1 La 0.0987 0.4789 0.0000
La2 La 0.2335 0.1863 0.5000
La3 La 0.6667 0.3333 0.0000
Nd1 Nd 0.0518 0.2551 0.5000
Nd2 Nd 0.1250 0.7126 0.0000
Nd3 Nd 0.4180 0.1522 0.0000
Nd4 Nd 0.4949 0.3977 0.5000
```